Starting from a DFT-relaxed cell (GGA-PBE, Alexandria), the X-ray powder pattern of AcNdSb2Pd5 was computed for λ = 1.5418 Å (Cu Kα).

Most intense lines, 2θ from 10° to 90°, sorted by position:
| 2θ (°) | intensity | index |
| --- | --- | --- |
| 26.96 | 30 | 1 0 2 |
| 33.63 | 100 | 1 1 2 |
| 39.62 | 46 | 1 1 3 |
| 40.09 | 64 | 2 0 0 |
| 42.13 | 18 | 1 0 4 |
| 57.99 | 22 | 2 2 0 |
| 59.56 | 13 | 2 1 4 |
| 64.31 | 14 | 1 1 6 |
| 68.74 | 25 | 3 1 2 |
| 72.53 | 15 | 3 1 3 |

Structural model:
a b c (Å): 4.498 4.498 9.762
angles (deg): 90.00 90.00 90.00
Atoms (fractional coordinates):
1 Ac 0.000 0.000 0.000
2 Nd 0.000 0.000 0.500
3 Sb 0.500 0.500 0.352
4 Sb 0.500 0.500 0.648
5 Pd 0.000 0.500 0.215
6 Pd 0.000 0.500 0.785
7 Pd 0.500 0.000 0.215
8 Pd 0.500 0.000 0.785
9 Pd 0.500 0.500 0.000